# 1
TbSmHgPd: calculated powder X-ray diffraction pattern (Cu Ka), based on a structure optimized by DFT (PBE).

Largest 10 diffraction maxima, most intense first, 2θ = 5–70°:
Position (°2θ)  d (Å)  I_rel
34.5  2.599  100
35.0  2.563  50
62.5  1.487  36
50.3  1.813  18
61.5  1.508  17
27.4  3.260  8
48.9  1.864  8
51.2  1.784  4
68.0  1.379  3
36.1  2.486  3

Crystal structure
a = 3.6253 Å, b = 3.6253 Å, c = 7.4567 Å
α = 90.00°, β = 90.00°, γ = 90.00°
Fractional positions:
Tb  0.0000  0.0000  0.0000
Sm  0.0000  0.0000  0.5402
Hg  0.5000  0.5000  0.2626
Pd  0.5000  0.5000  0.7826


# 2
Sm4TlHg2Pd: calculated powder X-ray diffraction pattern (Cu Ka), based on a structure optimized by DFT (PBE).

Largest 10 diffraction maxima, most intense first, 2θ = 5–70°:
Position (°2θ)  d (Å)  I_rel
33.6  2.664  100
33.8  2.651  89
60.3  1.536  34
48.4  1.879  33
60.2  1.538  19
60.6  1.528  12
31.0  2.886  10
64.3  1.449  8
46.4  1.957  5
58.5  1.578  3

Crystal structure
a = 9.1665 Å, b = 9.1665 Å, c = 9.1665 Å
α = 33.79°, β = 33.79°, γ = 33.79°
Fractional positions:
Sm  0.1164  0.1164  0.1164
Sm  0.3687  0.3687  0.3687
Sm  0.6313  0.6313  0.6313
Sm  0.8836  0.8836  0.8836
Tl  0.5000  0.5000  0.5000
Hg  0.2433  0.2433  0.2433
Hg  0.7567  0.7567  0.7567
Pd  0.0000  0.0000  0.0000


# 3
SnHgPd5: calculated powder X-ray diffraction pattern (Cu Ka), based on a structure optimized by DFT (PBE).

Largest 10 diffraction maxima, most intense first, 2θ = 5–70°:
Position (°2θ)  d (Å)  I_rel
39.3  2.294  100
39.1  2.301  88
44.0  2.056  59
24.7  3.606  38
67.6  1.386  28
19.3  4.603  27
48.5  1.875  24
39.9  2.257  24
36.6  2.454  15
64.2  1.450  12

Crystal structure
a = 4.7505 Å, b = 4.7505 Å, c = 11.6008 Å
α = 90.00°, β = 90.00°, γ = 75.71°
Fractional positions:
Sn  0.0597  0.9403  0.7500
Sn  0.9403  0.0597  0.2500
Hg  0.5000  0.5000  0.0000
Hg  0.5000  0.5000  0.5000
Pd  0.0214  0.4348  0.6237
Pd  0.0214  0.4348  0.8763
Pd  0.4348  0.0214  0.1237
Pd  0.4348  0.0214  0.3763
Pd  0.4819  0.5181  0.2500
Pd  0.5181  0.4819  0.7500
Pd  0.5652  0.9786  0.6237
Pd  0.5652  0.9786  0.8763
Pd  0.9786  0.5652  0.1237
Pd  0.9786  0.5652  0.3763


# 4
Sr6HgPd: calculated powder X-ray diffraction pattern (Cu Ka), based on a structure optimized by DFT (PBE).

Largest 10 diffraction maxima, most intense first, 2θ = 5–70°:
Position (°2θ)  d (Å)  I_rel
26.3  3.388  100
33.9  2.641  77
18.1  4.906  49
40.9  2.208  48
14.7  6.033  45
44.1  2.054  23
22.7  3.923  22
66.4  1.407  22
54.1  1.694  20
49.3  1.850  17

Crystal structure
a = 7.6485 Å, b = 7.6485 Å, c = 14.6071 Å
α = 90.00°, β = 90.00°, γ = 120.00°
Fractional positions:
Sr  0.0100  0.3288  0.1203
Sr  0.0100  0.6813  0.3797
Sr  0.3187  0.3288  0.3797
Sr  0.3187  0.9900  0.1203
Sr  0.3288  0.0100  0.6203
Sr  0.3288  0.3187  0.8797
Sr  0.6712  0.6813  0.1203
Sr  0.6712  0.9900  0.3797
Sr  0.6813  0.0100  0.8797
Sr  0.6813  0.6712  0.6203
Sr  0.9900  0.3187  0.6203
Sr  0.9900  0.6712  0.8797
Hg  0.3333  0.6667  0.7500
Hg  0.6667  0.3333  0.2500
Pd  0.0000  0.0000  0.0000
Pd  0.0000  0.0000  0.5000


Repeat the first record exactly.
TbSmHgPd: calculated powder X-ray diffraction pattern (Cu Ka), based on a structure optimized by DFT (PBE).

Largest 10 diffraction maxima, most intense first, 2θ = 5–70°:
Position (°2θ)  d (Å)  I_rel
34.5  2.599  100
35.0  2.563  50
62.5  1.487  36
50.3  1.813  18
61.5  1.508  17
27.4  3.260  8
48.9  1.864  8
51.2  1.784  4
68.0  1.379  3
36.1  2.486  3

Crystal structure
a = 3.6253 Å, b = 3.6253 Å, c = 7.4567 Å
α = 90.00°, β = 90.00°, γ = 90.00°
Fractional positions:
Tb  0.0000  0.0000  0.0000
Sm  0.0000  0.0000  0.5402
Hg  0.5000  0.5000  0.2626
Pd  0.5000  0.5000  0.7826


Repeat the third record exactly.
SnHgPd5: calculated powder X-ray diffraction pattern (Cu Ka), based on a structure optimized by DFT (PBE).

Largest 10 diffraction maxima, most intense first, 2θ = 5–70°:
Position (°2θ)  d (Å)  I_rel
39.3  2.294  100
39.1  2.301  88
44.0  2.056  59
24.7  3.606  38
67.6  1.386  28
19.3  4.603  27
48.5  1.875  24
39.9  2.257  24
36.6  2.454  15
64.2  1.450  12

Crystal structure
a = 4.7505 Å, b = 4.7505 Å, c = 11.6008 Å
α = 90.00°, β = 90.00°, γ = 75.71°
Fractional positions:
Sn  0.0597  0.9403  0.7500
Sn  0.9403  0.0597  0.2500
Hg  0.5000  0.5000  0.0000
Hg  0.5000  0.5000  0.5000
Pd  0.0214  0.4348  0.6237
Pd  0.0214  0.4348  0.8763
Pd  0.4348  0.0214  0.1237
Pd  0.4348  0.0214  0.3763
Pd  0.4819  0.5181  0.2500
Pd  0.5181  0.4819  0.7500
Pd  0.5652  0.9786  0.6237
Pd  0.5652  0.9786  0.8763
Pd  0.9786  0.5652  0.1237
Pd  0.9786  0.5652  0.3763


Please write out number 3 again, unchanged.
SnHgPd5: calculated powder X-ray diffraction pattern (Cu Ka), based on a structure optimized by DFT (PBE).

Largest 10 diffraction maxima, most intense first, 2θ = 5–70°:
Position (°2θ)  d (Å)  I_rel
39.3  2.294  100
39.1  2.301  88
44.0  2.056  59
24.7  3.606  38
67.6  1.386  28
19.3  4.603  27
48.5  1.875  24
39.9  2.257  24
36.6  2.454  15
64.2  1.450  12

Crystal structure
a = 4.7505 Å, b = 4.7505 Å, c = 11.6008 Å
α = 90.00°, β = 90.00°, γ = 75.71°
Fractional positions:
Sn  0.0597  0.9403  0.7500
Sn  0.9403  0.0597  0.2500
Hg  0.5000  0.5000  0.0000
Hg  0.5000  0.5000  0.5000
Pd  0.0214  0.4348  0.6237
Pd  0.0214  0.4348  0.8763
Pd  0.4348  0.0214  0.1237
Pd  0.4348  0.0214  0.3763
Pd  0.4819  0.5181  0.2500
Pd  0.5181  0.4819  0.7500
Pd  0.5652  0.9786  0.6237
Pd  0.5652  0.9786  0.8763
Pd  0.9786  0.5652  0.1237
Pd  0.9786  0.5652  0.3763